(1)
LaPr3N4: calculated powder XRD pattern (CuKα), based on a GGA-PBE-relaxed structure.
Neutral-atom scattering factors, no anomalous dispersion.

Main lines, sorted by position (2θ from 15° to 90°):
| 2θ/deg | I (rel.) |
| --- | --- |
| 29.5 | 100 |
| 34.2 | 76 |
| 49.2 | 53 |
| 58.4 | 46 |
| 61.3 | 18 |
| 72.1 | 8 |
| 79.7 | 19 |
| 82.2 | 23 |

Atomic structure:
```
data_LaPr3N4
_chemical_formula_sum 'La2 Pr6 N8'
_cell_length_a 7.4154
_cell_length_b 10.4808
_cell_length_c 3.7067
_cell_angle_alpha 90.00
_cell_angle_beta 90.00
_cell_angle_gamma 90.00
_space_group_name_H-M_alt 'C m m m'
_space_group_IT_number 65
_space_group_name_Hall '-C 2 2'
loop_
_atom_site_label
_atom_site_type_symbol
_atom_site_fract_x
_atom_site_fract_y
_atom_site_fract_z
La1 La 0.0000 0.0000 0.0000
Pr1 Pr 0.0000 0.5000 0.0000
Pr2 Pr 0.2500 0.2500 0.5000
N1 N 0.0000 0.2504 0.0000
N2 N 0.2489 0.5000 0.5000
```

(2)
La5Pr2N5: calculated powder XRD pattern (CuKα), based on a GGA-PBE-relaxed structure.
Neutral-atom scattering factors, no anomalous dispersion.

Main lines, sorted by position (2θ from 15° to 90°):
| 2θ/deg | I (rel.) |
| --- | --- |
| 26.9 | 91 |
| 27.1 | 64 |
| 28.6 | 95 |
| 28.8 | 100 |
| 29.9 | 33 |
| 32.5 | 54 |
| 34.6 | 74 |
| 37.3 | 57 |

Atomic structure:
```
data_La5Pr2N5
_chemical_formula_sum 'La10 Pr4 N10'
_cell_length_a 12.5137
_cell_length_b 3.5820
_cell_length_c 13.2232
_cell_angle_alpha 90.00
_cell_angle_beta 99.08
_cell_angle_gamma 90.00
_space_group_name_H-M_alt 'C 1 2/m 1'
_space_group_IT_number 12
loop_
_space_group_symop_operation_xyz
'x,y,z'
'-x,-y,-z'
'-x,y,-z'
'x,-y,z'
'x+1/2,y+1/2,z'
'-x+1/2,-y+1/2,-z'
'-x+1/2,y+1/2,-z'
'x+1/2,-y+1/2,z'
loop_
_atom_site_label
_atom_site_type_symbol
_atom_site_fract_x
_atom_site_fract_y
_atom_site_fract_z
La1 La 0.0000 0.0000 0.0000
La2 La 0.1479 0.0000 0.5630
La3 La 0.2225 0.0000 0.8801
Pr1 Pr 0.0732 0.5000 0.3270
N1 N 0.0000 0.5000 0.5000
N2 N 0.1423 0.5000 0.9686
N3 N 0.1914 0.0000 0.3930
```

(3)
La4Pr2Sb3N2: calculated powder XRD pattern (CuKα), based on a GGA-PBE-relaxed structure.
Neutral-atom scattering factors, no anomalous dispersion.

Main lines, sorted by position (2θ from 15° to 90°):
| 2θ/deg | I (rel.) |
| --- | --- |
| 26.7 | 61 |
| 29.2 | 19 |
| 32.9 | 100 |
| 36.9 | 54 |
| 50.8 | 17 |
| 53.2 | 19 |
| 60.5 | 16 |
| 64.0 | 29 |

Atomic structure:
```
data_La4Pr2Sb3N2
_chemical_formula_sum 'La8 Pr4 Sb6 N4'
_cell_length_a 4.8675
_cell_length_b 4.8675
_cell_length_c 26.7037
_cell_angle_alpha 90.00
_cell_angle_beta 90.00
_cell_angle_gamma 90.00
_space_group_name_H-M_alt 'I 4/m m m'
_space_group_IT_number 139
_space_group_name_Hall '-I 4 2'
loop_
_atom_site_label
_atom_site_type_symbol
_atom_site_fract_x
_atom_site_fract_y
_atom_site_fract_z
La1 La 0.0000 0.5000 0.0839
Pr1 Pr 0.0000 0.0000 0.1948
Sb1 Sb 0.0000 0.0000 0.3206
Sb2 Sb 0.0000 0.0000 0.5000
N1 N 0.0000 0.0000 0.1062
```

(4)
La2Pr4Te3N2: calculated powder XRD pattern (CuKα), based on a GGA-PBE-relaxed structure.
Neutral-atom scattering factors, no anomalous dispersion.

Main lines, sorted by position (2θ from 15° to 90°):
| 2θ/deg | I (rel.) |
| --- | --- |
| 26.7 | 18 |
| 27.0 | 41 |
| 29.4 | 12 |
| 33.1 | 100 |
| 37.3 | 49 |
| 46.5 | 16 |
| 53.8 | 17 |
| 64.6 | 29 |

Atomic structure:
```
data_La2Pr4Te3N2
_chemical_formula_sum 'La4 Pr8 Te6 N4'
_cell_length_a 4.8231
_cell_length_b 4.8231
_cell_length_c 26.6952
_cell_angle_alpha 90.00
_cell_angle_beta 90.00
_cell_angle_gamma 90.00
_space_group_name_H-M_alt 'I 4/m m m'
_space_group_IT_number 139
_space_group_name_Hall '-I 4 2'
loop_
_atom_site_label
_atom_site_type_symbol
_atom_site_fract_x
_atom_site_fract_y
_atom_site_fract_z
La1 La 0.0000 0.0000 0.1923
Pr1 Pr 0.0000 0.5000 0.0806
Te1 Te 0.0000 0.0000 0.3242
Te2 Te 0.0000 0.0000 0.5000
N1 N 0.0000 0.0000 0.1084
```

(5)
LaPr2ZnN: calculated powder XRD pattern (CuKα), based on a GGA-PBE-relaxed structure.
Neutral-atom scattering factors, no anomalous dispersion.

Main lines, sorted by position (2θ from 15° to 90°):
| 2θ/deg | I (rel.) |
| --- | --- |
| 30.6 | 100 |
| 35.5 | 38 |
| 35.6 | 19 |
| 51.1 | 39 |
| 60.7 | 28 |
| 60.9 | 14 |
| 63.8 | 13 |
| 86.0 | 12 |

Atomic structure:
```
data_LaPr2ZnN
_chemical_formula_sum 'La1 Pr2 Zn1 N1'
_cell_length_a 5.0586
_cell_length_b 5.0586
_cell_length_c 5.0444
_cell_angle_alpha 90.00
_cell_angle_beta 90.00
_cell_angle_gamma 90.00
_space_group_name_H-M_alt 'P 4/m m m'
_space_group_IT_number 123
_space_group_name_Hall '-P 4 2'
loop_
_atom_site_label
_atom_site_type_symbol
_atom_site_fract_x
_atom_site_fract_y
_atom_site_fract_z
La1 La 0.0000 0.0000 0.0000
Pr1 Pr 0.0000 0.5000 0.5000
Zn1 Zn 0.5000 0.5000 0.0000
N1 N 0.0000 0.0000 0.5000
```

(6)
La4PtN2: calculated powder XRD pattern (CuKα), based on a GGA-PBE-relaxed structure.
Neutral-atom scattering factors, no anomalous dispersion.

Main lines, sorted by position (2θ from 15° to 90°):
| 2θ/deg | I (rel.) |
| --- | --- |
| 15.7 | 15 |
| 30.5 | 58 |
| 31.7 | 100 |
| 32.4 | 84 |
| 34.5 | 31 |
| 47.4 | 20 |
| 57.4 | 20 |
| 58.6 | 22 |

Atomic structure:
```
data_La4PtN2
_chemical_formula_sum 'La16 Pt4 N8'
_cell_length_a 3.8388
_cell_length_b 12.5156
_cell_length_c 13.2809
_cell_angle_alpha 90.00
_cell_angle_beta 90.00
_cell_angle_gamma 90.00
_space_group_name_H-M_alt 'C m c m'
_space_group_IT_number 63
_space_group_name_Hall '-C 2c 2'
loop_
_atom_site_label
_atom_site_type_symbol
_atom_site_fract_x
_atom_site_fract_y
_atom_site_fract_z
La1 La 0.0000 0.0000 0.0000
La2 La 0.0000 0.2721 0.1068
La3 La 0.0000 0.4315 0.7500
Pt1 Pt 0.0000 0.1086 0.7500
N1 N 0.0000 0.3657 0.5593
```

(7)
La6RuPt2N: calculated powder XRD pattern (CuKα), based on a GGA-PBE-relaxed structure.
Neutral-atom scattering factors, no anomalous dispersion.

Main lines, sorted by position (2θ from 15° to 90°):
| 2θ/deg | I (rel.) |
| --- | --- |
| 29.0 | 45 |
| 29.2 | 44 |
| 29.8 | 100 |
| 31.2 | 51 |
| 31.4 | 49 |
| 32.0 | 65 |
| 35.2 | 46 |
| 39.0 | 59 |

Atomic structure:
```
data_La6RuPt2N
_chemical_formula_sum 'La12 Ru2 Pt4 N2'
_cell_length_a 6.8608
_cell_length_b 7.5857
_cell_length_c 12.3918
_cell_angle_alpha 90.00
_cell_angle_beta 123.31
_cell_angle_gamma 90.00
_space_group_name_H-M_alt 'P 1 21/c 1'
_space_group_IT_number 14
loop_
_space_group_symop_operation_xyz
'x,y,z'
'-x,-y,-z'
'-x,y+1/2,-z+1/2'
'x,-y+1/2,z+1/2'
loop_
_atom_site_label
_atom_site_type_symbol
_atom_site_fract_x
_atom_site_fract_y
_atom_site_fract_z
La1 La 0.1016 0.1910 0.4358
La2 La 0.2442 0.6727 0.4370
La3 La 0.3680 0.0396 0.2396
Ru1 Ru 0.5000 0.0000 0.5000
Pt1 Pt 0.2004 0.1030 0.7474
N1 N 0.0000 0.0000 0.0000
```

(8)
LaSmPtN2: calculated powder XRD pattern (CuKα), based on a GGA-PBE-relaxed structure.
Neutral-atom scattering factors, no anomalous dispersion.

Main lines, sorted by position (2θ from 15° to 90°):
| 2θ/deg | I (rel.) |
| --- | --- |
| 16.1 | 61 |
| 17.4 | 38 |
| 31.8 | 23 |
| 32.5 | 57 |
| 35.2 | 47 |
| 35.8 | 100 |
| 36.0 | 98 |
| 48.7 | 45 |

Atomic structure:
```
data_LaSmPtN2
_chemical_formula_sum 'La2 Sm2 Pt2 N4'
_cell_length_a 5.5036
_cell_length_b 5.0945
_cell_length_c 6.7418
_cell_angle_alpha 90.00
_cell_angle_beta 90.53
_cell_angle_gamma 90.00
_space_group_name_H-M_alt 'P 1 2/c 1'
_space_group_IT_number 13
loop_
_space_group_symop_operation_xyz
'x,y,z'
'-x,-y,-z'
'-x,y,-z+1/2'
'x,-y,z+1/2'
loop_
_atom_site_label
_atom_site_type_symbol
_atom_site_fract_x
_atom_site_fract_y
_atom_site_fract_z
La1 La 0.0000 0.0077 0.2500
Sm1 Sm 0.5000 0.4977 0.7500
Pt1 Pt 0.5000 0.0000 0.0000
N1 N 0.2291 0.2865 0.9996
```

(9)
LaPu3N4: calculated powder XRD pattern (CuKα), based on a GGA-PBE-relaxed structure.
Neutral-atom scattering factors, no anomalous dispersion.

Main lines, sorted by position (2θ from 15° to 90°):
| 2θ/deg | I (rel.) |
| --- | --- |
| 30.9 | 100 |
| 35.9 | 66 |
| 51.6 | 23 |
| 51.7 | 23 |
| 61.4 | 35 |
| 64.5 | 12 |
| 84.4 | 13 |
| 87.1 | 14 |

Atomic structure:
```
data_LaPu3N4
_chemical_formula_sum 'La2 Pu6 N8'
_cell_length_a 6.1232
_cell_length_b 7.0880
_cell_length_c 6.1288
_cell_angle_alpha 90.00
_cell_angle_beta 109.47
_cell_angle_gamma 90.00
_space_group_name_H-M_alt 'P 1 2/c 1'
_space_group_IT_number 13
loop_
_space_group_symop_operation_xyz
'x,y,z'
'-x,-y,-z'
'-x,y,-z+1/2'
'x,-y,z+1/2'
loop_
_atom_site_label
_atom_site_type_symbol
_atom_site_fract_x
_atom_site_fract_y
_atom_site_fract_z
La1 La 0.0000 0.1275 0.2500
Pu1 Pu 0.0000 0.3763 0.7500
Pu2 Pu 0.5000 0.1269 0.7500
Pu3 Pu 0.5000 0.3766 0.2500
N1 N 0.2569 0.3879 0.5128
N2 N 0.2772 0.1349 0.9955
```

(10)
LaPuN3: calculated powder XRD pattern (CuKα), based on a GGA-PBE-relaxed structure.
Neutral-atom scattering factors, no anomalous dispersion.

Main lines, sorted by position (2θ from 15° to 90°):
| 2θ/deg | I (rel.) |
| --- | --- |
| 21.1 | 21 |
| 29.7 | 100 |
| 30.3 | 95 |
| 43.0 | 46 |
| 52.3 | 22 |
| 53.5 | 42 |
| 53.9 | 20 |
| 70.3 | 18 |

Atomic structure:
```
data_LaPuN3
_chemical_formula_sum 'La4 Pu4 N12'
_cell_length_a 10.2016
_cell_length_b 5.8925
_cell_length_c 6.0179
_cell_angle_alpha 90.00
_cell_angle_beta 124.45
_cell_angle_gamma 90.00
_space_group_name_H-M_alt 'C 1 2/m 1'
_space_group_IT_number 12
loop_
_space_group_symop_operation_xyz
'x,y,z'
'-x,-y,-z'
'-x,y,-z'
'x,-y,z'
'x+1/2,y+1/2,z'
'-x+1/2,-y+1/2,-z'
'-x+1/2,y+1/2,-z'
'x+1/2,-y+1/2,z'
loop_
_atom_site_label
_atom_site_type_symbol
_atom_site_fract_x
_atom_site_fract_y
_atom_site_fract_z
La1 La 0.2469 0.0000 0.2326
Pu1 Pu 0.0000 0.0000 0.5000
Pu2 Pu 0.0000 0.5000 0.0000
N1 N 0.0546 0.2582 0.8170
N2 N 0.2293 0.0000 0.6352
```

(11)
La2PuSe2N2: calculated powder XRD pattern (CuKα), based on a GGA-PBE-relaxed structure.
Neutral-atom scattering factors, no anomalous dispersion.

Main lines, sorted by position (2θ from 15° to 90°):
| 2θ/deg | I (rel.) |
| --- | --- |
| 26.6 | 36 |
| 29.0 | 97 |
| 35.2 | 100 |
| 41.4 | 43 |
| 55.5 | 63 |
| 60.0 | 14 |
| 68.0 | 18 |
| 86.2 | 21 |

Atomic structure:
```
data_La2PuSe2N2
_chemical_formula_sum 'La4 Pu2 Se4 N4'
_cell_length_a 4.3592
_cell_length_b 4.3592
_cell_length_c 15.7118
_cell_angle_alpha 90.00
_cell_angle_beta 90.00
_cell_angle_gamma 90.00
_space_group_name_H-M_alt 'I 4/m m m'
_space_group_IT_number 139
_space_group_name_Hall '-I 4 2'
loop_
_atom_site_label
_atom_site_type_symbol
_atom_site_fract_x
_atom_site_fract_y
_atom_site_fract_z
La1 La 0.0000 0.0000 0.1191
Pu1 Pu 0.0000 0.0000 0.5000
Se1 Se 0.0000 0.0000 0.3184
N1 N 0.0000 0.5000 0.0000
```

(12)
La2PuThN5: calculated powder XRD pattern (CuKα), based on a GGA-PBE-relaxed structure.
Neutral-atom scattering factors, no anomalous dispersion.

Main lines, sorted by position (2θ from 15° to 90°):
| 2θ/deg | I (rel.) |
| --- | --- |
| 28.4 | 100 |
| 29.8 | 53 |
| 30.4 | 89 |
| 30.6 | 25 |
| 31.5 | 44 |
| 38.2 | 27 |
| 49.1 | 27 |
| 57.3 | 31 |

Atomic structure:
```
data_La2PuThN5
_chemical_formula_sum 'La8 Pu4 Th4 N20'
_cell_length_a 3.8345
_cell_length_b 13.5183
_cell_length_c 11.9998
_cell_angle_alpha 90.00
_cell_angle_beta 90.00
_cell_angle_gamma 90.00
_space_group_name_H-M_alt 'C m c 21'
_space_group_IT_number 36
loop_
_space_group_symop_operation_xyz
'x,y,z'
'-x,-y,z+1/2'
'-x,y,z'
'x,-y,z+1/2'
'x+1/2,y+1/2,z'
'-x+1/2,-y+1/2,z+1/2'
'-x+1/2,y+1/2,z'
'x+1/2,-y+1/2,z+1/2'
loop_
_atom_site_label
_atom_site_type_symbol
_atom_site_fract_x
_atom_site_fract_y
_atom_site_fract_z
La1 La 0.0000 0.1105 0.0000
La2 La 0.0000 0.1500 0.5297
Pu1 Pu 0.0000 0.4704 0.7664
Th1 Th 0.0000 0.2611 0.2735
N1 N 0.0000 0.0748 0.3263
N2 N 0.0000 0.2576 0.9089
N3 N 0.0000 0.3055 0.6496
N4 N 0.0000 0.4082 0.1450
N5 N 0.0000 0.4147 0.3794
```